# 1
# CaPr3Ho3
Theoretical XRD peak list, a wavelength of 1.5418 Å. Input: a PBE-relaxed structure.

Top 10 peaks for 2θ from 5° to 70°, low angle first:
| d (Å) | I_rel |
| --- | --- |
| 8.406 | 19 |
| 3.220 | 15 |
| 3.185 | 16 |
| 2.908 | 48 |
| 2.828 | 100 |
| 2.805 | 64 |
| 2.783 | 31 |
| 2.165 | 15 |
| 1.663 | 21 |
| 1.559 | 17 |

Crystal structure
```
data_CaPr3Ho3
_chemical_formula_sum 'Ca2 Pr6 Ho6'
_symmetry_space_group_name_H-M 'P 1'
_symmetry_Int_Tables_number 1
_cell_length_a 6.8542
_cell_length_b 8.6627
_cell_length_c 9.5062
_cell_angle_alpha 65.55
_cell_angle_beta 72.17
_cell_angle_gamma 76.65
loop_
_symmetry_equiv_pos_as_xyz
'x,y,z'
loop_
_atom_site_label
_atom_site_type_symbol
_atom_site_fract_x
_atom_site_fract_y
_atom_site_fract_z
Ca1 Ca 0.2401 0.4453 0.0657
Ca2 Ca 0.7599 0.5547 0.9343
Pr1 Pr 0.1070 0.8860 0.7574
Pr2 Pr 0.2076 0.2655 0.7831
Pr3 Pr 0.3149 0.8444 0.0830
Pr4 Pr 0.6851 0.1556 0.9170
Pr5 Pr 0.7924 0.7345 0.2169
Pr6 Pr 0.8930 0.1140 0.2426
Ho1 Ho 0.0563 0.6877 0.5053
Ho2 Ho 0.3803 0.0196 0.3518
Ho3 Ho 0.4745 0.3997 0.3782
Ho4 Ho 0.5255 0.6003 0.6218
Ho5 Ho 0.6197 0.9804 0.6482
Ho6 Ho 0.9437 0.3123 0.4947
```

---

# 2
# CaPr4Ho5
Theoretical XRD peak list, a wavelength of 1.5418 Å. Input: a PBE-relaxed structure.

Top 10 peaks for 2θ from 5° to 70°, low angle first:
| d (Å) | I_rel |
| --- | --- |
| 7.867 | 29 |
| 3.420 | 20 |
| 3.183 | 25 |
| 3.062 | 19 |
| 2.882 | 51 |
| 2.850 | 100 |
| 2.830 | 37 |
| 2.554 | 80 |
| 1.529 | 17 |
| 1.520 | 18 |

Crystal structure
```
data_CaPr4Ho5
_chemical_formula_sum 'Ca1 Pr4 Ho5'
_symmetry_space_group_name_H-M 'P 1'
_symmetry_Int_Tables_number 1
_cell_length_a 9.0994
_cell_length_b 9.0994
_cell_length_c 11.6789
_cell_angle_alpha 103.95
_cell_angle_beta 103.95
_cell_angle_gamma 22.87
loop_
_symmetry_equiv_pos_as_xyz
'x,y,z'
loop_
_atom_site_label
_atom_site_type_symbol
_atom_site_fract_x
_atom_site_fract_y
_atom_site_fract_z
Ca1 Ca 0.0000 0.0000 0.0000
Pr1 Pr 0.1894 0.1894 0.7285
Pr2 Pr 0.4809 0.4809 0.2509
Pr3 Pr 0.5191 0.5191 0.7491
Pr4 Pr 0.8106 0.8106 0.2715
Ho1 Ho 0.0000 0.0000 0.5000
Ho2 Ho 0.3304 0.3304 0.0061
Ho3 Ho 0.3361 0.3361 0.5577
Ho4 Ho 0.6639 0.6639 0.4423
Ho5 Ho 0.6696 0.6696 0.9939
```

---

# 3
# CaPr12Ho5
Theoretical XRD peak list, a wavelength of 1.5418 Å. Input: a PBE-relaxed structure.

Top 10 peaks for 2θ from 5° to 70°, low angle first:
| d (Å) | I_rel |
| --- | --- |
| 11.002 | 3 |
| 2.999 | 100 |
| 2.607 | 34 |
| 2.578 | 17 |
| 1.843 | 12 |
| 1.833 | 24 |
| 1.571 | 14 |
| 1.570 | 15 |
| 1.558 | 14 |
| 1.500 | 12 |

Crystal structure
```
data_CaPr12Ho5
_chemical_formula_sum 'Ca1 Pr12 Ho5'
_symmetry_space_group_name_H-M 'P 1'
_symmetry_Int_Tables_number 1
_cell_length_a 10.9955
_cell_length_b 5.2111
_cell_length_c 11.0090
_cell_angle_alpha 90.00
_cell_angle_beta 90.67
_cell_angle_gamma 90.00
loop_
_symmetry_equiv_pos_as_xyz
'x,y,z'
loop_
_atom_site_label
_atom_site_type_symbol
_atom_site_fract_x
_atom_site_fract_y
_atom_site_fract_z
Ca1 Ca 0.0000 0.0000 0.0000
Pr1 Pr 0.0036 0.0000 0.6637
Pr2 Pr 0.1701 0.5000 0.1704
Pr3 Pr 0.1699 0.5000 0.5019
Pr4 Pr 0.3341 0.0000 0.3340
Pr5 Pr 0.3363 0.0000 0.9965
Pr6 Pr 0.4980 0.5000 0.8302
Pr7 Pr 0.5020 0.5000 0.1698
Pr8 Pr 0.6637 0.0000 0.0035
Pr9 Pr 0.6659 0.0000 0.6660
Pr10 Pr 0.8301 0.5000 0.4981
Pr11 Pr 0.8299 0.5000 0.8296
Pr12 Pr 0.9964 0.0000 0.3363
Ho1 Ho 0.1730 0.5000 0.8268
Ho2 Ho 0.3343 0.0000 0.6657
Ho3 Ho 0.5000 0.5000 0.5000
Ho4 Ho 0.6657 0.0000 0.3342
Ho5 Ho 0.8270 0.5000 0.1732
```